Starting from the PBE geometry in Alexandria, the powder diffraction line list of AcInCu5 was simulated for copper Kα.
Kinematic intensities with the Lorentz-polarization factor, no thermal factor.

Peak list (6 most intense, 2θ from 5° to 70°, in order of falling intensity)
| two_theta | Rel. int. |
| --- | --- |
| 36.6 | 100 |
| 36.9 | 84 |
| 35.0 | 45 |
| 30.3 | 44 |
| 34.3 | 40 |
| 43.3 | 34 |

Crystal structure
Cell lengths 8.643, 5.224, 10.740 Å; angles 90.00, 90.00, 90.00 degrees
Sites, in units of the cell vectors:
Ac  0.242  0.250  0.061
Ac  0.258  0.750  0.561
Ac  0.742  0.250  0.439
Ac  0.758  0.750  0.939
In  0.142  0.750  0.863
In  0.358  0.250  0.363
In  0.642  0.750  0.637
In  0.858  0.250  0.137
Cu  0.057  0.750  0.113
Cu  0.066  0.502  0.313
Cu  0.066  0.998  0.313
Cu  0.080  0.250  0.514
Cu  0.182  0.250  0.744
Cu  0.318  0.750  0.244
Cu  0.420  0.750  0.014
Cu  0.434  0.002  0.813
Cu  0.434  0.498  0.813
Cu  0.443  0.250  0.613
Cu  0.557  0.750  0.387
Cu  0.566  0.502  0.187
Cu  0.566  0.998  0.187
Cu  0.580  0.250  0.986
Cu  0.682  0.250  0.756
Cu  0.818  0.750  0.256
Cu  0.920  0.750  0.486
Cu  0.934  0.002  0.687
Cu  0.934  0.498  0.687
Cu  0.943  0.250  0.887